The following is a calculated powder diffractogram of BiPd17. It was derived from a crystal structure in OQMD, relaxed with PBE, using λ = 1.5418 Å (Cu Kα).
Kinematic intensities with the Lorentz-polarization factor, no thermal factor.

Structural model:
```
BiPd17
1.0
5.5572 0.0000 0.0000
-2.7786 4.8127 0.0000
0.0000 0.0000 31.3684
Bi Pd
2 34
direct
0.3333 0.6667 0.3001
0.6667 0.3333 0.6999
0.0000 0.0000 0.0000
0.0000 0.0000 0.2182
0.0000 0.0000 0.7818
0.0000 0.5000 0.0000
0.0011 0.5005 0.2189
0.1662 0.3323 0.7075
0.1662 0.8338 0.7075
0.1667 0.3333 0.9274
0.1671 0.3341 0.1454
0.1671 0.8329 0.1454
0.1667 0.8333 0.9274
0.3323 0.1662 0.2925
0.3333 0.1667 0.0726
0.3333 0.6667 0.0724
0.3333 0.6667 0.8545
0.3341 0.1671 0.8546
0.4995 0.5005 0.2189
0.4995 0.9989 0.2189
0.5000 0.0000 0.0000
0.5000 0.5000 0.0000
0.5005 0.0011 0.7811
0.5005 0.4995 0.7811
0.6659 0.8329 0.1454
0.6667 0.3333 0.1455
0.6667 0.3333 0.9276
0.6667 0.8333 0.9274
0.6677 0.8338 0.7075
0.8333 0.1667 0.0726
0.8329 0.1671 0.8546
0.8329 0.6659 0.8546
0.8333 0.6667 0.0726
0.8338 0.1662 0.2925
0.8338 0.6677 0.2925
0.9989 0.4995 0.7811
```

Main lines, in order of rising 2θ (2θ = 5–70°):
d/Å  I_rel
15.684  100
7.842  7
2.413  13
2.300  43
2.247  45
2.241  16
1.980  41
1.909  9
1.411  12
1.389  17

---

The following is a calculated powder diffractogram of YErCo2Sn. It was derived from a crystal structure in OQMD, relaxed with PBE, using λ = 1.5418 Å (Cu Kα).
Kinematic intensities with the Lorentz-polarization factor, no thermal factor.

Structural model:
```
YErCo2Sn
1.0
3.8336 0.0000 0.0000
0.0000 3.8010 0.0000
0.0000 0.0000 13.6948
Y Er Co Sn
2 2 4 2
direct
0.0000 0.0000 0.0000
0.0000 0.5000 0.5000
0.0000 0.0000 0.2758
0.0000 0.5000 0.7758
0.5000 0.0000 0.4322
0.5000 0.0000 0.8388
0.5000 0.5000 0.3388
0.5000 0.5000 0.9322
0.5000 0.0000 0.6378
0.5000 0.5000 0.1378
```

Main lines, in order of rising 2θ (2θ = 5–70°):
d/Å  I_rel
6.847  14
2.921  37
2.648  100
2.554  71
2.323  25
2.222  34
1.917  22
1.901  22
1.525  29
1.451  17

---

The following is a calculated powder diffractogram of Mg2ReB6. It was derived from a crystal structure in OQMD, relaxed with PBE, using λ = 1.5418 Å (Cu Kα).
Kinematic intensities with the Lorentz-polarization factor, no thermal factor.

Structural model:
```
Mg2ReB6
1.0
9.0075 0.0000 0.0000
0.0000 11.1182 0.0000
0.0000 0.0000 3.4094
Mg Re B
8 4 24
direct
0.0536 0.1280 0.0000
0.1701 0.4127 0.0000
0.3299 0.9127 0.0000
0.4464 0.6280 0.0000
0.5536 0.3720 0.0000
0.6701 0.0873 0.0000
0.8299 0.5873 0.0000
0.9464 0.8720 0.0000
0.1457 0.6799 0.0000
0.3543 0.1799 0.0000
0.6457 0.8201 0.0000
0.8543 0.3201 0.0000
0.0192 0.2884 0.5000
0.0554 0.5629 0.5000
0.0918 0.9748 0.5000
0.1320 0.8217 0.5000
0.2004 0.2408 0.5000
0.2409 0.0766 0.5000
0.2591 0.5766 0.5000
0.2996 0.7408 0.5000
0.3680 0.3217 0.5000
0.4082 0.4748 0.5000
0.4446 0.0629 0.5000
0.4808 0.7884 0.5000
0.5192 0.2116 0.5000
0.5554 0.9371 0.5000
0.5918 0.5252 0.5000
0.6320 0.6783 0.5000
0.7004 0.2592 0.5000
0.7409 0.4234 0.5000
0.7591 0.9234 0.5000
0.7996 0.7592 0.5000
0.8680 0.1783 0.5000
0.9082 0.0252 0.5000
0.9446 0.4371 0.5000
0.9808 0.7116 0.5000
```

Main lines, in order of rising 2θ (2θ = 5–70°):
d/Å  I_rel
5.559  57
4.731  73
4.174  100
3.409  50
2.903  39
2.766  34
2.656  36
2.641  64
2.095  49
1.925  44

---

The following is a calculated powder diffractogram of Li2HfZrGe2Pd2. It was derived from a crystal structure in OQMD, relaxed with PBE, using λ = 1.5418 Å (Cu Kα).
Kinematic intensities with the Lorentz-polarization factor, no thermal factor.

Structural model:
```
Li2HfZrGe2Pd2
1.0
4.2114 0.0000 0.0000
0.0000 4.2114 0.0000
0.0000 0.0000 7.2150
Li Hf Zr Ge Pd
2 1 1 2 2
direct
0.0000 0.5000 0.2488
0.5000 0.0000 0.7512
0.5000 0.5000 0.0000
0.0000 0.0000 0.5000
0.0000 0.0000 0.0000
0.5000 0.5000 0.5000
0.0000 0.5000 0.7668
0.5000 0.0000 0.2332
```

Main lines, in order of rising 2θ (2θ = 5–70°):
d/Å  I_rel
7.215  11
3.637  48
2.978  9
2.297  100
2.106  39
2.088  10
1.822  13
1.804  11
1.489  13
1.370  18

---

The following is a calculated powder diffractogram of RbInPdSe3. It was derived from a crystal structure in OQMD, relaxed with PBE, using λ = 1.5418 Å (Cu Kα).
Kinematic intensities with the Lorentz-polarization factor, no thermal factor.

Structural model:
```
RbInPdSe3
1.0
14.7506 0.0000 0.0000
0.0000 4.3391 0.0000
0.0000 0.0000 11.4747
Rb In Pd Se
4 4 4 12
direct
0.2255 0.2500 0.0299
0.2745 0.7500 0.5299
0.7255 0.2500 0.4701
0.7745 0.7500 0.9701
0.0262 0.2500 0.3655
0.4738 0.7500 0.8655
0.5262 0.2500 0.1345
0.9738 0.7500 0.6345
0.0240 0.7500 0.0769
0.4760 0.2500 0.5769
0.5240 0.7500 0.4231
0.9760 0.2500 0.9231
0.0461 0.7500 0.8622
0.0979 0.2500 0.5776
0.1182 0.7500 0.2557
0.3818 0.2500 0.7557
0.4021 0.7500 0.0776
0.4539 0.2500 0.3622
0.5461 0.7500 0.6378
0.5979 0.2500 0.9224
0.6182 0.7500 0.2443
0.8818 0.2500 0.7443
0.9021 0.7500 0.4224
0.9539 0.2500 0.1378
```

Main lines, in order of rising 2θ (2θ = 5–70°):
d/Å  I_rel
7.375  100
3.131  82
2.830  21
2.815  15
2.729  20
2.674  26
2.170  26
2.057  14
2.029  14
1.956  26

---

The following is a calculated powder diffractogram of CsRb3Ag2Bi2. It was derived from a crystal structure in OQMD, relaxed with PBE, using λ = 1.5418 Å (Cu Kα).
Kinematic intensities with the Lorentz-polarization factor, no thermal factor.

Structural model:
```
CsRb3Ag2Bi2
1.0
7.0302 0.0000 0.0000
0.0000 6.6927 0.0000
-1.8861 0.0000 6.9260
Cs Rb Ag Bi
1 3 2 2
direct
0.0000 0.0000 0.0000
0.3000 0.5000 0.3111
0.6528 0.0000 0.3445
0.9543 0.5000 0.6542
0.4725 0.2507 0.8273
0.4725 0.7493 0.8273
0.2184 0.0000 0.5569
0.7332 0.5000 0.0929
```

Main lines, in order of rising 2θ (2θ = 5–70°):
d/Å  I_rel
5.644  57
4.813  25
4.764  37
3.422  24
3.346  32
3.084  100
3.047  78
2.644  61
2.407  28
1.877  24

---

The following is a calculated powder diffractogram of Er5Ir2. It was derived from a crystal structure in OQMD, relaxed with PBE, using λ = 1.5418 Å (Cu Kα).
Kinematic intensities with the Lorentz-polarization factor, no thermal factor.

Structural model:
```
Er5Ir2
1.0
7.7811 -3.2164 0.0000
7.7811 3.2164 0.0000
-0.8885 0.0000 7.0940
Er Ir
10 4
direct
0.0706 0.9294 0.7500
0.1515 0.2885 0.3161
0.2885 0.1515 0.8161
0.2902 0.5258 0.0811
0.4742 0.7098 0.4189
0.5258 0.2902 0.5811
0.7098 0.4742 0.9189
0.7115 0.8485 0.1839
0.8485 0.7115 0.6839
0.9294 0.0706 0.2500
0.1057 0.6743 0.4264
0.3257 0.8943 0.0736
0.6743 0.1057 0.9264
0.8943 0.3257 0.5736
```

Main lines, in order of rising 2θ (2θ = 5–70°):
d/Å  I_rel
4.450  55
2.929  49
2.794  72
2.785  100
2.694  63
2.540  40
2.498  48
2.471  48
2.464  40
2.234  47

---

The following is a calculated powder diffractogram of Rb3ZnBr5. It was derived from a crystal structure in OQMD, relaxed with PBE, using λ = 1.5418 Å (Cu Kα).
Kinematic intensities with the Lorentz-polarization factor, no thermal factor.

Structural model:
```
Rb3ZnBr5
1.0
9.2476 0.0000 0.0000
0.0000 10.5984 0.0000
0.0000 0.0000 13.6692
Rb Zn Br
12 4 20
direct
0.0853 0.2500 0.0467
0.0898 0.0209 0.3277
0.0898 0.4791 0.3277
0.4102 0.5209 0.8277
0.4102 0.9791 0.8277
0.4147 0.7500 0.5467
0.5853 0.2500 0.4533
0.5898 0.0209 0.1723
0.5898 0.4791 0.1723
0.9102 0.5209 0.6723
0.9102 0.9791 0.6723
0.9147 0.7500 0.9533
0.1895 0.2500 0.6079
0.3105 0.7500 0.1079
0.6895 0.2500 0.8921
0.8105 0.7500 0.3921
0.0354 0.7500 0.4873
0.1352 0.2500 0.7811
0.1595 0.7500 0.7645
0.1849 0.5581 0.0631
0.1849 0.9419 0.0631
0.3151 0.0581 0.5631
0.3151 0.4419 0.5631
0.3405 0.2500 0.2645
0.3648 0.7500 0.2811
0.4646 0.2500 0.9873
0.5354 0.7500 0.0127
0.6352 0.2500 0.7189
0.6595 0.7500 0.7355
0.6849 0.5581 0.4369
0.6849 0.9419 0.4369
0.8151 0.0581 0.9369
0.8151 0.4419 0.9369
0.8405 0.2500 0.2355
0.8648 0.7500 0.2189
0.9646 0.2500 0.5127
```

Main lines, in order of rising 2θ (2θ = 5–70°):
d/Å  I_rel
3.376  100
3.240  68
3.206  74
3.104  53
2.893  18
2.872  18
2.650  40
2.043  33
1.909  23
1.732  26

---

The following is a calculated powder diffractogram of RbNiSeS2. It was derived from a crystal structure in OQMD, relaxed with PBE, using λ = 1.5418 Å (Cu Kα).
Kinematic intensities with the Lorentz-polarization factor, no thermal factor.

Structural model:
```
RbNiSeS2
1.0
6.3114 0.0000 0.0000
-2.6833 6.4255 0.0000
-2.2859 -2.2084 6.4956
Rb Ni Se S
2 2 2 4
direct
0.2095 0.3499 0.1671
0.7905 0.6501 0.8329
0.2396 0.9488 0.5224
0.7604 0.0512 0.4776
0.2122 0.6334 0.6144
0.7878 0.3666 0.3856
0.1661 0.2029 0.6720
0.3592 0.9128 0.2654
0.6408 0.0872 0.7346
0.8339 0.7971 0.3280
```

Main lines, in order of rising 2θ (2θ = 5–70°):
d/Å  I_rel
6.496  100
3.915  33
3.863  33
3.487  81
3.175  76
2.976  23
2.648  93
2.366  24
2.054  29
2.021  26

---

The following is a calculated powder diffractogram of Zr4CuIr. It was derived from a crystal structure in OQMD, relaxed with PBE, using λ = 1.5418 Å (Cu Kα).
Kinematic intensities with the Lorentz-polarization factor, no thermal factor.

Structural model:
```
Zr4CuIr
1.0
4.6637 0.0000 0.0000
0.0000 10.7516 0.0000
0.0000 0.0000 4.6641
Zr Cu Ir
8 2 2
direct
0.0000 0.1534 0.0000
0.0000 0.3466 0.5000
0.0000 0.6534 0.5000
0.0000 0.8466 0.0000
0.5000 0.1535 0.4985
0.5000 0.3465 0.9985
0.5000 0.6535 0.9985
0.5000 0.8465 0.4985
0.5000 0.0000 0.9963
0.5000 0.5000 0.4963
0.0000 0.0000 0.5019
0.0000 0.5000 0.0019
```

Main lines, in order of rising 2θ (2θ = 5–70°):
d/Å  I_rel
5.376  7
4.279  8
3.523  5
2.427  100
2.332  48
1.802  7
1.792  9
1.649  17
1.421  16
1.364  31

---

The following is a calculated powder diffractogram of Ga2Cu2TeS3. It was derived from a crystal structure in OQMD, relaxed with PBE, using λ = 1.5418 Å (Cu Kα).
Kinematic intensities with the Lorentz-polarization factor, no thermal factor.

Structural model:
```
Ga2Cu2TeS3
1.0
12.2202 0.0000 0.0000
0.0000 5.5357 0.0000
-2.4669 0.0000 4.9687
Ga Cu Te S
4 4 2 6
direct
0.1309 0.0000 0.3985
0.3691 0.5000 0.6015
0.6309 0.5000 0.3985
0.8691 0.0000 0.6015
0.1369 0.4582 0.8633
0.3631 0.9582 0.1367
0.6369 0.9582 0.8633
0.8631 0.4582 0.1367
0.0000 0.7174 0.0000
0.5000 0.2174 0.0000
0.0000 0.2397 0.5000
0.2501 0.2333 0.2508
0.2499 0.7333 0.7492
0.5000 0.7397 0.5000
0.7499 0.2333 0.7492
0.7501 0.7333 0.2508
```

Main lines, in order of rising 2θ (2θ = 5–70°):
d/Å  I_rel
4.935  13
3.197  100
3.175  92
2.413  13
1.959  65
1.946  42
1.938  20
1.675  12
1.666  26
1.649  13